No. 1
Diffraction record for PmNd12Tl3. The X-ray diffraction stick pattern is theoretical, not measured: it uses a structure optimized by DFT (GGA-PBE) and Cu Kα (λ = 1.5418 Å).
Kinematic intensities with the Lorentz-polarization factor, no thermal factor.

Crystal structure
a = 5.0081 Å, b = 5.0081 Å, c = 20.5318 Å
α = 90.00°, β = 90.00°, γ = 90.00°
Space group P4/mmm (No. 123)
Unique sites:
Pm1 0.0000 0.0000 0.0000
Nd1 0.0000 0.5000 0.1320
Nd2 0.0000 0.5000 0.3777
Nd3 0.5000 0.5000 0.0000
Nd4 0.5000 0.5000 0.2559
Nd5 0.5000 0.5000 0.5000
Tl1 0.0000 0.0000 0.2569
Tl2 0.0000 0.0000 0.5000

Most intense lines, 10° ≤ 2θ ≤ 90°, in order of falling intensity:
hkl  2theta  I_rel
1 1 4  30.67  100
2 0 0  35.86  34
3 1 4  61.25  28
2 0 8  50.95  23
0 0 8  34.96  17
1 1 12  60.05  13

=====

No. 2
Diffraction record for Pm2Nd3Tl3. The X-ray diffraction stick pattern is theoretical, not measured: it uses a structure optimized by DFT (GGA-PBE) and Cu Kα (λ = 1.5418 Å).
Kinematic intensities with the Lorentz-polarization factor, no thermal factor.

Crystal structure
a = 4.5287 Å, b = 5.0861 Å, c = 21.2854 Å
α = 90.00°, β = 90.00°, γ = 90.00°
Space group Immm (No. 71)
Unique sites:
Pm1 0.0000 0.0000 0.2368
Nd1 0.0000 0.0000 0.0000
Nd2 0.0000 0.5000 0.1191
Tl1 0.0000 0.0000 0.5000
Tl2 0.0000 0.5000 0.3731

Most intense lines, 10° ≤ 2θ ≤ 90°, in order of falling intensity:
hkl  2theta  I_rel
1 1 4  31.34  100
0 0 8  33.69  19
0 2 0  35.29  19
1 3 4  60.89  15
2 0 0  39.81  14
1 1 12  58.78  13

=====

No. 3
Diffraction record for Pm12Nd2Tl. The X-ray diffraction stick pattern is theoretical, not measured: it uses a structure optimized by DFT (GGA-PBE) and Cu Kα (λ = 1.5418 Å).
Kinematic intensities with the Lorentz-polarization factor, no thermal factor.

Crystal structure
a = 6.7376 Å, b = 6.7376 Å, c = 23.7718 Å
α = 90.00°, β = 90.00°, γ = 90.00°
Space group P4/nbm (No. 125, origin choice 2)
Unique sites:
Pm1 0.0046 0.5046 0.0926
Pm2 0.0840 0.5840 0.5652
Pm3 0.2500 0.2500 0.1995
Pm4 0.2500 0.2500 0.3289
Nd1 0.2500 0.7500 0.2473
Tl1 0.2500 0.7500 0.0000

Most intense lines, 10° ≤ 2θ ≤ 90°, in order of falling intensity:
hkl  2theta  I_rel
2 0 2  27.52  100
2 2 0  37.77  85
2 0 6  34.96  73
2 0 4  30.50  70
3 1 8  52.88  58
2 0 5  32.58  46

=====

No. 4
Diffraction record for Pm3Nd3Tl. The X-ray diffraction stick pattern is theoretical, not measured: it uses a structure optimized by DFT (GGA-PBE) and Cu Kα (λ = 1.5418 Å).
Kinematic intensities with the Lorentz-polarization factor, no thermal factor.

Crystal structure
a = 9.6045 Å, b = 9.6045 Å, c = 5.7531 Å
α = 90.00°, β = 90.00°, γ = 120.00°
Space group P6_3/m (No. 176)
Unique sites:
Pm1 0.0643 0.8199 0.2500
Nd1 0.1078 0.6279 0.7500
Tl1 0.3333 0.6667 0.2500

Most intense lines, 10° ≤ 2θ ≤ 90°, in order of falling intensity:
hkl  2theta  I_rel
1 2 1  32.45  100
0 0 2  31.09  25
1 2 0  28.39  23
4 1 2  60.29  21
1 2 3  56.18  21
4 1 0  50.27  18

=====

Q: Number 1 is which compound?
A: PmNd12Tl3